Theoretical powder X-ray diffraction pattern
Compound: Tb3Zn4Ni4
Radiation: Cu Kα (weighted mean of Kα1 and Kα2)
Structure: DFT lattice parameters and positions (GGA-PBE)
Intensities are scaled so that the largest is 1000.

Top 10 peaks for 2θ = 10–90°, in order of rising 2θ:
d/Å, 2theta, intensity
3.527, 25.25, 152
2.594, 34.58, 914
2.522, 35.60, 282
2.421, 37.14, 1000
2.279, 39.54, 146
2.084, 43.42, 357
1.996, 45.45, 326
1.737, 52.70, 135
1.441, 64.67, 212
1.237, 77.07, 178

a b c (Å): 7.8734 7.8734 7.8734
angles (deg): 150.63 126.78 61.95
Element x y z (fractional)
Tb (0.0000, 0.0000, 0.0000)
Tb (0.3727, 0.8727, 0.5000)
Tb (0.6273, 0.1273, 0.5000)
Zn (0.0201, 0.3294, 0.6906)
Zn (0.3612, 0.6706, 0.6906)
Zn (0.6388, 0.3294, 0.3094)
Zn (0.9799, 0.6706, 0.3094)
Ni (0.2195, 0.2195, 0.0000)
Ni (0.3249, 0.5000, 0.8249)
Ni (0.6751, 0.5000, 0.1751)
Ni (0.7805, 0.7805, 0.0000)

Theoretical powder X-ray diffraction pattern
Compound: Th2As4PdRh3
Radiation: Cu Kα (weighted mean of Kα1 and Kα2)
Structure: DFT lattice parameters and positions (GGA-PBE)
Intensities are scaled so that the largest is 1000.

Top 10 peaks for 2θ = 10–90°, in order of rising 2θ:
d/Å, 2theta, intensity
3.109, 28.71, 235
2.620, 34.23, 1000
2.610, 34.35, 752
2.198, 41.06, 644
1.780, 51.33, 228
1.682, 54.58, 406
1.554, 59.46, 216
1.438, 64.83, 166
1.383, 67.74, 200
1.337, 70.45, 343

a b c (Å): 4.3967 4.3967 9.7321
angles (deg): 90.00 90.00 90.00
Element x y z (fractional)
Th (0.0000, 0.5000, 0.2486)
Th (0.5000, 0.0000, 0.7514)
As (0.0000, 0.0000, 0.0000)
As (0.0000, 0.5000, 0.6352)
As (0.5000, 0.0000, 0.3648)
As (0.5000, 0.5000, 0.0000)
Pd (0.0000, 0.0000, 0.5000)
Rh (0.0000, 0.5000, 0.8844)
Rh (0.5000, 0.0000, 0.1156)
Rh (0.5000, 0.5000, 0.5000)

Theoretical powder X-ray diffraction pattern
Compound: Na2Sr3In2Hg4
Radiation: Cu Kα (weighted mean of Kα1 and Kα2)
Structure: DFT lattice parameters and positions (GGA-PBE)
Intensities are scaled so that the largest is 1000.

Top 10 peaks for 2θ = 10–90°, in order of rising 2θ:
d/Å, 2theta, intensity
3.928, 22.64, 296
3.831, 23.22, 653
2.927, 30.55, 953
2.533, 35.44, 1000
2.248, 40.10, 211
2.129, 42.46, 358
1.915, 47.47, 282
1.552, 59.56, 283
1.528, 60.61, 271
1.463, 63.62, 190

a b c (Å): 5.0663 5.0663 15.7119
angles (deg): 90.00 90.00 120.00
Element x y z (fractional)
Na (0.3333, 0.6667, 0.0614)
Na (0.6667, 0.3333, 0.9386)
Sr (0.0000, 0.0000, 0.2425)
Sr (0.0000, 0.0000, 0.5000)
Sr (0.0000, 0.0000, 0.7575)
In (0.3333, 0.6667, 0.6342)
In (0.6667, 0.3333, 0.3658)
Hg (0.3333, 0.6667, 0.3779)
Hg (0.3333, 0.6667, 0.8580)
Hg (0.6667, 0.3333, 0.1420)
Hg (0.6667, 0.3333, 0.6221)

Theoretical powder X-ray diffraction pattern
Compound: YbB4Ru
Radiation: Cu Kα (weighted mean of Kα1 and Kα2)
Structure: DFT lattice parameters and positions (GGA-PBE)
Intensities are scaled so that the largest is 1000.

Top 10 peaks for 2θ = 10–90°, in order of rising 2θ:
d/Å, 2theta, intensity
3.511, 25.37, 773
3.231, 27.61, 213
2.885, 31.00, 848
2.595, 34.56, 202
2.377, 37.84, 236
2.355, 38.21, 199
2.229, 40.47, 1000
2.087, 43.35, 263
1.956, 46.42, 277
1.500, 61.87, 242

a b c (Å): 5.9608 11.5327 3.5109
angles (deg): 90.00 90.00 90.00
Element x y z (fractional)
Yb (0.1291, 0.1503, 0.0000)
Yb (0.3709, 0.6503, 0.0000)
Yb (0.6291, 0.3497, 0.0000)
Yb (0.8709, 0.8497, 0.0000)
B (0.0245, 0.6926, 0.5000)
B (0.1132, 0.5474, 0.5000)
B (0.1346, 0.9692, 0.5000)
B (0.2121, 0.8142, 0.5000)
B (0.2879, 0.3142, 0.5000)
B (0.3654, 0.4692, 0.5000)
B (0.3868, 0.0474, 0.5000)
B (0.4755, 0.1926, 0.5000)
B (0.5245, 0.8074, 0.5000)
B (0.6132, 0.9526, 0.5000)
B (0.6346, 0.5308, 0.5000)
B (0.7121, 0.6858, 0.5000)
B (0.7879, 0.1858, 0.5000)
B (0.8654, 0.0308, 0.5000)
B (0.8868, 0.4526, 0.5000)
B (0.9755, 0.3074, 0.5000)
Ru (0.1370, 0.4110, 0.0000)
Ru (0.3630, 0.9110, 0.0000)
Ru (0.6370, 0.0890, 0.0000)
Ru (0.8630, 0.5890, 0.0000)

Theoretical powder X-ray diffraction pattern
Compound: Nd2TmCd3
Radiation: Cu Kα (weighted mean of Kα1 and Kα2)
Structure: DFT lattice parameters and positions (GGA-PBE)
Intensities are scaled so that the largest is 1000.

Top 10 peaks for 2θ = 10–90°, in order of rising 2θ:
d/Å, 2theta, intensity
2.703, 33.15, 1000
2.665, 33.63, 495
1.939, 46.85, 86
1.884, 48.30, 177
1.568, 58.90, 173
1.546, 59.83, 358
1.351, 69.57, 104
1.223, 78.17, 65
1.195, 80.34, 76
1.192, 80.61, 78

a b c (Å): 3.7687 3.7687 11.6340
angles (deg): 90.00 90.00 90.00
Element x y z (fractional)
Nd (0.0000, 0.0000, 0.1723)
Nd (0.0000, 0.0000, 0.8277)
Tm (0.0000, 0.0000, 0.5000)
Cd (0.5000, 0.5000, 0.0000)
Cd (0.5000, 0.5000, 0.3488)
Cd (0.5000, 0.5000, 0.6512)

Theoretical powder X-ray diffraction pattern
Compound: LiTiAlRe
Radiation: Cu Kα (weighted mean of Kα1 and Kα2)
Structure: DFT lattice parameters and positions (GGA-PBE)
Intensities are scaled so that the largest is 1000.

Top 10 peaks for 2θ = 10–90°, in order of rising 2θ:
d/Å, 2theta, intensity
3.568, 24.95, 1000
3.090, 28.89, 205
2.185, 41.32, 854
1.864, 48.87, 498
1.545, 59.86, 142
1.418, 65.87, 205
1.382, 67.81, 84
1.262, 75.33, 286
1.189, 80.80, 157
1.093, 89.75, 94

a b c (Å): 6.1806 6.1806 6.1806
angles (deg): 90.00 90.00 90.00
Element x y z (fractional)
Li (0.0000, 0.0000, 0.0000)
Li (0.0000, 0.5000, 0.5000)
Li (0.5000, 0.0000, 0.5000)
Li (0.5000, 0.5000, 0.0000)
Ti (0.2500, 0.2500, 0.2500)
Ti (0.2500, 0.7500, 0.7500)
Ti (0.7500, 0.2500, 0.7500)
Ti (0.7500, 0.7500, 0.2500)
Al (0.2500, 0.2500, 0.7500)
Al (0.2500, 0.7500, 0.2500)
Al (0.7500, 0.2500, 0.2500)
Al (0.7500, 0.7500, 0.7500)
Re (0.0000, 0.0000, 0.5000)
Re (0.0000, 0.5000, 0.0000)
Re (0.5000, 0.0000, 0.0000)
Re (0.5000, 0.5000, 0.5000)